The following is a theoretical X-ray powder pattern of Pm5ScSn8. It was derived from a GGA-PBE-relaxed structure, using Cu Kα X-rays.
Intensities are scaled so that the largest is 100.

Atomic structure:
```
data_Pm5ScSn8
_chemical_formula_sum 'Pm5 Sc1 Sn8'
_symmetry_space_group_name_H-M 'P 1'
_symmetry_Int_Tables_number 1
_cell_length_a 8.084
_cell_length_b 8.084
_cell_length_c 8.084
_cell_angle_alpha 107.05
_cell_angle_beta 107.05
_cell_angle_gamma 114.43
loop_
_symmetry_equiv_pos_as_xyz
'x,y,z'
loop_
_atom_site_label
_atom_site_type_symbol
_atom_site_fract_x
_atom_site_fract_y
_atom_site_fract_z
Pm1 Pm 0.000 0.000 0.000
Pm2 Pm 0.256 0.119 0.639
Pm3 Pm 0.383 0.744 0.864
Pm4 Pm 0.481 0.617 0.361
Pm5 Pm 0.881 0.519 0.136
Sc1 Sc 0.750 0.250 0.500
Sn1 Sn 0.096 0.362 0.892
Sn2 Sn 0.101 0.352 0.409
Sn3 Sn 0.309 0.899 0.251
Sn4 Sn 0.469 0.204 0.108
Sn5 Sn 0.638 0.531 0.734
Sn6 Sn 0.648 0.057 0.749
Sn7 Sn 0.796 0.904 0.266
Sn8 Sn 0.943 0.691 0.591
```

Principal peaks in the range 10° ≤ 2θ ≤ 90°, by angle:
two_theta, d (Å), intensity
29.39, 3.039, 100
29.69, 3.009, 55
32.05, 2.792, 48
35.19, 2.550, 50
35.97, 2.497, 44
37.24, 2.414, 76
47.11, 1.929, 33
59.44, 1.555, 23